For CsInMo2O8, DFT lattice parameters and positions (GGA+U) gives the simulated powder XRD pattern in this record (Cu Kα, 1.54184 Å).

Main lines, low angle first (2θ = 10–90°):
hkl 2 0 2, d = 3.948 Å, rel. 43; hkl 3 1 1, d = 3.600 Å, rel. 78; hkl 2 1 2, d = 3.299 Å, rel. 100; hkl 4 1 0, d = 3.254 Å, rel. 24; hkl 4 1 1, d = 3.067 Å, rel. 36; hkl 0 2 0, d = 3.002 Å, rel. 62; hkl 1 2 3, d = 2.123 Å, rel. 17; hkl 2 3 2, d = 1.785 Å, rel. 19; hkl 5 2 3, d = 1.762 Å, rel. 20; hkl 3 1 5, d = 1.662 Å, rel. 18

Structure:
```
CsInMo2O8
1.0
15.484 0.000 0.000
0.000 6.005 0.000
0.000 0.000 9.179
Cs In Mo O
4 4 8 32
Cartesian
1.969 1.501 0.328 Cs
5.773 4.504 4.918 Cs
9.711 1.501 4.261 Cs
13.515 4.504 8.851 Cs
1.693 4.504 6.379 In
6.049 1.501 1.789 In
9.435 4.504 7.390 In
13.791 1.501 2.801 In
0.564 4.504 2.700 Mo
3.330 1.501 4.554 Mo
4.412 4.504 9.143 Mo
7.177 1.501 7.289 Mo
8.306 4.504 1.890 Mo
11.072 1.501 0.036 Mo
12.154 4.504 4.626 Mo
14.919 1.501 6.479 Mo
0.341 0.047 7.130 O
0.341 2.955 7.130 O
0.614 4.504 4.488 O
2.128 1.501 3.305 O
2.175 4.504 2.014 O
2.780 4.504 8.292 O
3.050 0.007 5.552 O
3.050 2.995 5.552 O
4.692 3.010 0.962 O
4.692 5.997 0.962 O
4.962 1.501 3.702 O
5.567 1.501 6.603 O
5.614 4.504 7.894 O
7.128 1.501 9.077 O
7.401 3.049 2.541 O
7.401 5.958 2.541 O
8.083 0.047 6.638 O
8.083 2.955 6.638 O
8.356 4.504 0.102 O
9.870 1.501 1.285 O
9.917 4.504 2.576 O
10.522 4.504 5.477 O
10.792 0.007 8.217 O
10.792 2.995 8.217 O
12.434 3.010 3.628 O
12.434 5.997 3.628 O
12.704 1.501 0.888 O
13.309 1.501 7.165 O
13.356 4.504 5.874 O
14.870 1.501 4.692 O
15.143 3.049 2.049 O
15.143 5.958 2.049 O
```